# 1
This entry pairs a crystal structure of CeTi2Al20 with its simulated X-ray diffraction stick pattern. Radiation: Cu Kα (weighted mean of Kα1 and Kα2). Structure: a crystal structure in the Materials Project, relaxed with PBE.

Structure:
Unit cell a=10.393 b=10.393 c=10.393 alpha=60.00 beta=60.00 gamma=60.00
Fractional coordinates of all 46 atoms:
Ce1 0.125 0.125 0.125
Ce2 0.875 0.875 0.875
Ti1 0.000 0.500 0.500
Ti2 0.500 0.000 0.500
Ti3 0.500 0.500 0.000
Ti4 0.500 0.500 0.500
Al1 0.000 0.000 0.000
Al2 0.000 0.000 0.500
Al3 0.000 0.500 0.000
Al4 0.057 0.325 0.325
Al5 0.057 0.325 0.794
Al6 0.057 0.794 0.325
Al7 0.206 0.675 0.675
Al8 0.206 0.675 0.943
Al9 0.206 0.943 0.675
Al10 0.239 0.239 0.511
Al11 0.239 0.511 0.239
Al12 0.239 0.511 0.511
Al13 0.325 0.057 0.325
Al14 0.325 0.057 0.794
Al15 0.325 0.325 0.057
Al16 0.325 0.325 0.794
Al17 0.325 0.794 0.057
Al18 0.325 0.794 0.325
Al19 0.489 0.489 0.761
Al20 0.489 0.761 0.489
Al21 0.489 0.761 0.761
Al22 0.500 0.000 0.000
Al23 0.511 0.239 0.239
Al24 0.511 0.239 0.511
Al25 0.511 0.511 0.239
Al26 0.675 0.206 0.675
Al27 0.675 0.206 0.943
Al28 0.675 0.675 0.206
Al29 0.675 0.675 0.943
Al30 0.675 0.943 0.206
Al31 0.675 0.943 0.675
Al32 0.761 0.489 0.489
Al33 0.761 0.489 0.761
Al34 0.761 0.761 0.489
Al35 0.794 0.057 0.325
Al36 0.794 0.325 0.057
Al37 0.794 0.325 0.325
Al38 0.943 0.206 0.675
Al39 0.943 0.675 0.206
Al40 0.943 0.675 0.675

Largest 8 diffraction maxima, low angle first, 15 to 90 degrees two-theta:
17.06 deg, I = 51
20.04 deg, I = 75
34.52 deg, I = 42
36.16 deg, I = 100
38.75 deg, I = 66
40.24 deg, I = 91
40.72 deg, I = 66
72.80 deg, I = 42

---

# 2
This entry pairs a crystal structure of Ce3UAl8 with its simulated X-ray diffraction stick pattern. Radiation: Cu Kα (weighted mean of Kα1 and Kα2). Structure: a crystal structure in the Materials Project, relaxed with PBE.

Structure:
Unit cell a=9.660 b=9.660 c=9.660 alpha=33.49 beta=33.49 gamma=33.49
Fractional coordinates of all 12 atoms:
Ce1 0.000 0.000 0.000
Ce2 0.128 0.128 0.128
Ce3 0.507 0.507 0.507
U1 0.628 0.628 0.628
Al1 0.064 0.565 0.565
Al2 0.066 0.066 0.565
Al3 0.066 0.565 0.066
Al4 0.315 0.315 0.315
Al5 0.565 0.064 0.565
Al6 0.565 0.066 0.066
Al7 0.565 0.565 0.064
Al8 0.816 0.816 0.816

Largest 8 diffraction maxima, low angle first, 15 to 90 degrees two-theta:
19.52 deg, I = 66
32.13 deg, I = 100
37.88 deg, I = 100
50.50 deg, I = 17
57.28 deg, I = 29
61.10 deg, I = 20
61.15 deg, I = 12
76.47 deg, I = 17

---

# 3
This entry pairs a crystal structure of CeAl20V2 with its simulated X-ray diffraction stick pattern. Radiation: Cu Kα (weighted mean of Kα1 and Kα2). Structure: a crystal structure in the Materials Project, relaxed with PBE.

Structure:
Unit cell a=10.279 b=10.279 c=10.279 alpha=60.00 beta=60.00 gamma=60.00
Fractional coordinates of all 46 atoms:
Ce1 0.125 0.125 0.125
Ce2 0.875 0.875 0.875
Al1 0.000 0.000 0.000
Al2 0.000 0.000 0.500
Al3 0.000 0.500 0.000
Al4 0.056 0.325 0.325
Al5 0.056 0.325 0.793
Al6 0.056 0.793 0.325
Al7 0.207 0.675 0.675
Al8 0.207 0.675 0.944
Al9 0.207 0.944 0.675
Al10 0.238 0.238 0.512
Al11 0.238 0.512 0.238
Al12 0.238 0.512 0.512
Al13 0.325 0.056 0.325
Al14 0.325 0.056 0.793
Al15 0.325 0.325 0.056
Al16 0.325 0.325 0.793
Al17 0.325 0.793 0.056
Al18 0.325 0.793 0.325
Al19 0.488 0.488 0.762
Al20 0.488 0.762 0.488
Al21 0.488 0.762 0.762
Al22 0.500 0.000 0.000
Al23 0.512 0.238 0.238
Al24 0.512 0.238 0.512
Al25 0.512 0.512 0.238
Al26 0.675 0.207 0.675
Al27 0.675 0.207 0.944
Al28 0.675 0.675 0.207
Al29 0.675 0.675 0.944
Al30 0.675 0.944 0.207
Al31 0.675 0.944 0.675
Al32 0.762 0.488 0.488
Al33 0.762 0.488 0.762
Al34 0.762 0.762 0.488
Al35 0.793 0.056 0.325
Al36 0.793 0.325 0.056
Al37 0.793 0.325 0.325
Al38 0.944 0.207 0.675
Al39 0.944 0.675 0.207
Al40 0.944 0.675 0.675
V1 0.000 0.500 0.500
V2 0.500 0.000 0.500
V3 0.500 0.500 0.000
V4 0.500 0.500 0.500

Largest 8 diffraction maxima, low angle first, 15 to 90 degrees two-theta:
17.25 deg, I = 51
20.26 deg, I = 83
34.91 deg, I = 46
36.57 deg, I = 100
39.19 deg, I = 68
40.70 deg, I = 95
41.19 deg, I = 71
73.74 deg, I = 43

---

# 4
This entry pairs a crystal structure of AlCl3 with its simulated X-ray diffraction stick pattern. Radiation: Cu Kα (weighted mean of Kα1 and Kα2). Structure: a crystal structure in the Materials Project, relaxed with PBE.

Structure:
Unit cell a=6.024 b=6.024 c=6.653 alpha=98.47 beta=98.47 gamma=119.97
Fractional coordinates of all 8 atoms:
Al1 0.167 0.833 0.000
Al2 0.833 0.167 0.000
Cl1 0.068 0.432 0.790
Cl2 0.205 0.205 0.211
Cl3 0.432 0.068 0.790
Cl4 0.568 0.932 0.210
Cl5 0.795 0.795 0.789
Cl6 0.932 0.568 0.210

Largest 8 diffraction maxima, low angle first, 15 to 90 degrees two-theta:
17.59 deg, I = 24
28.07 deg, I = 29
31.05 deg, I = 26
31.18 deg, I = 53
35.18 deg, I = 100
35.36 deg, I = 50
48.81 deg, I = 27
52.62 deg, I = 40